(1)
Simulated powder diffraction line list of K2S5 for Cu Kα X-rays, from a DFT-relaxed cell (PBE, the Materials Project).
Lines closer than 0.1° are merged.

Main lines, in order of rising 2θ (2θ from 10° to 90°):
hkl	d (Å)	Position (°2θ)	I/Imax
0 0 2	7.265	12.18	36
0 1 2	5.585	15.87	100
0 0 4	3.632	24.51	35
0 1 4	3.354	26.58	91
1 2 2	3.280	27.18	36
2 1 0	3.175	28.10	81
0 3 2	2.702	33.16	97
2 1 3	2.655	33.75	57
2 2 2	2.520	35.63	88
2 1 4	2.391	37.63	50

Structural model:
abc: 6.8168 8.7323 14.5298
angles: 90.00 90.00 90.00
Positions (direct):
K: 0.0519 0.0315 0.1940
K: 0.1266 0.8334 0.8932
K: 0.3734 0.1666 0.3932
K: 0.4481 0.9685 0.6940
K: 0.5519 0.4685 0.8060
K: 0.6266 0.6666 0.1068
K: 0.8734 0.3334 0.6068
K: 0.9481 0.5315 0.3060
S: 0.0848 0.5163 0.7804
S: 0.1161 0.8554 0.3970
S: 0.1212 0.6643 0.6753
S: 0.1452 0.4488 0.0704
S: 0.1517 0.6723 0.1080
S: 0.3483 0.3277 0.6080
S: 0.3548 0.5512 0.5704
S: 0.3788 0.3357 0.1753
S: 0.3839 0.1446 0.8970
S: 0.4152 0.4837 0.2804
S: 0.5848 0.9837 0.2196
S: 0.6161 0.6446 0.6030
S: 0.6212 0.8357 0.3247
S: 0.6452 0.0512 0.9296
S: 0.6517 0.8277 0.8920
S: 0.8483 0.1723 0.3920
S: 0.8548 0.9488 0.4296
S: 0.8788 0.1643 0.8247
S: 0.8839 0.3554 0.1030
S: 0.9152 0.0163 0.7196

---

(2)
Simulated powder diffraction line list of Ca3Nb3N5 for Cu Kα X-rays, from a DFT-relaxed cell (PBE, the Materials Project).
Lines closer than 0.1° are merged.

Main lines, in order of rising 2θ (2θ from 10° to 90°):
hkl	d (Å)	Position (°2θ)	I/Imax
0 1 0	6.886	12.86	56
1 0 0	5.658	15.66	39
0 1 1	4.434	20.03	46
2 -1 0	2.894	30.90	51
0 2 1	2.805	31.91	100
1 2 -2	2.780	32.20	90
1 0 -3	2.670	33.57	85
-2 2 1	2.421	37.13	38
1 -1 3	2.272	39.67	40
1 -3 2	2.243	40.21	39

Structural model:
abc: 6.0349 7.4450 8.4626
angles: 106.74 103.91 99.89
Positions (direct):
Ca: 0.1646 0.1303 0.2004
Ca: 0.1855 0.3503 0.8913
Ca: 0.3004 0.9583 0.6133
Ca: 0.6996 0.0417 0.3867
Ca: 0.8145 0.6497 0.1087
Ca: 0.8354 0.8697 0.7996
Nb: 0.2429 0.4879 0.5685
Nb: 0.3281 0.6215 0.2983
Nb: 0.3821 0.8048 0.9479
Nb: 0.6179 0.1952 0.0521
Nb: 0.6719 0.3785 0.7017
Nb: 0.7571 0.5121 0.4315
N: 0.0570 0.6485 0.4056
N: 0.2128 0.7317 0.0991
N: 0.2573 0.0409 0.8969
N: 0.3926 0.2248 0.5014
N: 0.4883 0.4183 0.1813
N: 0.5117 0.5817 0.8187
N: 0.6074 0.7752 0.4986
N: 0.7427 0.9591 0.1031
N: 0.7872 0.2683 0.9009
N: 0.9430 0.3515 0.5944

---

(3)
Simulated powder diffraction line list of DyAsPt for Cu Kα X-rays, from a DFT-relaxed cell (PBE, the Materials Project).
Lines closer than 0.1° are merged.

Main lines, in order of rising 2θ (2θ from 10° to 90°):
hkl	d (Å)	Position (°2θ)	I/Imax
1 0 1	3.606	24.69	16
1 0 4	2.685	33.37	100
1 0 5	2.385	37.71	11
1 1 0	2.140	42.22	57
0 0 8	1.948	46.63	12
2 0 4	1.674	54.85	24
1 1 8	1.441	64.71	28
2 1 4	1.318	71.56	22
3 0 0	1.236	77.20	10
1 0 12	1.225	77.96	7

Structural model:
abc: 4.2806 4.2806 15.5816
angles: 90.00 90.00 120.00
Positions (direct):
Dy: 0.0000 0.0000 0.0000
Dy: 0.0000 0.0000 0.2500
Dy: 0.0000 0.0000 0.5000
Dy: 0.0000 0.0000 0.7500
As: 0.3333 0.6667 0.1165
As: 0.3333 0.6667 0.3835
As: 0.6667 0.3333 0.6165
As: 0.6667 0.3333 0.8835
Pt: 0.3333 0.6667 0.6345
Pt: 0.3333 0.6667 0.8655
Pt: 0.6667 0.3333 0.1345
Pt: 0.6667 0.3333 0.3655

---

(4)
Simulated powder diffraction line list of SrCaDyBiO6 for Cu Kα X-rays, from a DFT-relaxed cell (PBE, the Materials Project).
Lines closer than 0.1° are merged.

Main lines, in order of rising 2θ (2θ from 10° to 90°):
hkl	d (Å)	Position (°2θ)	I/Imax
2 0 0	4.235	20.98	37
0 2 2	2.995	29.84	100
4 0 0	2.117	42.70	27
0 4 2	1.894	48.04	17
4 2 2	1.729	52.96	46
4 0 4	1.497	61.98	16
4 4 2	1.412	66.20	8
0 6 2	1.339	70.29	18
4 4 4	1.223	78.19	5
4 6 2	1.132	85.86	23

Structural model:
abc: 8.4664 8.4704 8.4729
angles: 90.00 90.00 90.00
Positions (direct):
Sr: 0.0000 0.0000 0.0000
Sr: 0.0000 0.0000 0.5000
Sr: 0.5000 0.0000 0.0000
Sr: 0.5000 0.5000 0.5000
Ca: 0.0000 0.5000 0.0000
Ca: 0.0000 0.5000 0.5000
Ca: 0.5000 0.0000 0.5000
Ca: 0.5000 0.5000 0.0000
Dy: 0.2496 0.2523 0.2499
Dy: 0.2496 0.7477 0.7501
Dy: 0.7504 0.2523 0.7501
Dy: 0.7504 0.7477 0.2499
Bi: 0.2496 0.2526 0.7499
Bi: 0.2496 0.7474 0.2501
Bi: 0.7504 0.2526 0.2501
Bi: 0.7504 0.7474 0.7499
O: 0.0065 0.2159 0.7994
O: 0.0065 0.7841 0.2006
O: 0.1949 0.4938 0.7042
O: 0.1949 0.5062 0.2958
O: 0.2167 0.2035 0.5060
O: 0.2167 0.7965 0.4940
O: 0.2931 0.0068 0.7863
O: 0.2929 0.3072 0.9928
O: 0.2929 0.6928 0.0072
O: 0.2931 0.9932 0.2137
O: 0.4939 0.2862 0.7044
O: 0.4939 0.7138 0.2956
O: 0.5061 0.2862 0.2956
O: 0.5061 0.7138 0.7044
O: 0.7069 0.0068 0.2137
O: 0.7071 0.3072 0.0072
O: 0.7071 0.6928 0.9928
O: 0.7069 0.9932 0.7863
O: 0.7833 0.2035 0.4940
O: 0.7833 0.7965 0.5060
O: 0.8051 0.4938 0.2958
O: 0.8051 0.5062 0.7042
O: 0.9935 0.2159 0.2006
O: 0.9935 0.7841 0.7994

---

(5)
Simulated powder diffraction line list of CsSr2Nb3O10 for Cu Kα X-rays, from a DFT-relaxed cell (PBE, the Materials Project).
Lines closer than 0.1° are merged.

Main lines, in order of rising 2θ (2θ from 10° to 90°):
hkl	d (Å)	Position (°2θ)	I/Imax
0 0 4	3.918	22.70	11
1 0 2	3.562	25.00	14
1 0 3	3.175	28.10	100
1 1 0	2.828	31.64	49
1 0 4	2.799	31.98	11
1 0 6	2.187	41.28	9
2 0 0	2.000	45.35	32
2 1 3	1.692	54.21	31
2 2 0	1.414	66.08	9
2 1 11	1.114	87.55	8

Structural model:
abc: 3.9992 3.9992 15.6712
angles: 90.00 90.00 90.00
Positions (direct):
Cs: 0.0000 0.0000 0.0000
Sr: 0.0000 0.0000 0.3550
Sr: 0.0000 0.0000 0.6450
Nb: 0.5000 0.5000 0.2181
Nb: 0.5000 0.5000 0.5000
Nb: 0.5000 0.5000 0.7819
O: 0.0000 0.5000 0.2440
O: 0.0000 0.5000 0.5000
O: 0.0000 0.5000 0.7560
O: 0.5000 0.0000 0.2440
O: 0.5000 0.0000 0.5000
O: 0.5000 0.0000 0.7560
O: 0.5000 0.5000 0.1036
O: 0.5000 0.5000 0.3733
O: 0.5000 0.5000 0.6267
O: 0.5000 0.5000 0.8964

---

(6)
Simulated powder diffraction line list of Na2ZnSb2 for Cu Kα X-rays, from a DFT-relaxed cell (PBE, the Materials Project).
Lines closer than 0.1° are merged.

Main lines, in order of rising 2θ (2θ from 10° to 90°):
hkl	d (Å)	Position (°2θ)	I/Imax
1 0 0	6.577	13.46	100
1 0 1	6.003	14.76	28
1 1 0	4.651	19.08	45
1 1 1	4.434	20.03	14
2 0 0	3.289	27.11	19
2 1 0	2.941	30.39	32
1 0 6	2.295	39.25	14
3 0 0	2.192	41.19	12
3 1 0	2.079	43.52	21
2 1 6	1.882	48.37	12

Structural model:
abc: 6.5774 6.5774 14.6914
angles: 90.00 90.00 90.00
Positions (direct):
Na: 0.0000 0.0000 0.1257
Na: 0.0000 0.0000 0.8743
Zn: 0.0000 0.0000 0.5000
Sb: 0.0000 0.0000 0.3289
Sb: 0.0000 0.0000 0.6711

---

(7)
Simulated powder diffraction line list of SrC6 for Cu Kα X-rays, from a DFT-relaxed cell (PBE, the Materials Project).
Lines closer than 0.1° are merged.

Main lines, in order of rising 2θ (2θ from 10° to 90°):
hkl	d (Å)	Position (°2θ)	I/Imax
1 0 0	3.753	23.71	20
1 0 1	3.512	25.36	100
1 0 2	2.998	29.80	22
0 0 4	2.490	36.07	66
1 1 2	1.987	45.65	47
2 0 1	1.844	49.42	16
1 0 5	1.761	51.92	14
2 0 3	1.635	56.28	18
2 1 1	1.404	66.59	13
1 1 6	1.319	71.55	11

Structural model:
abc: 4.3336 4.3336 9.9707
angles: 90.00 90.00 120.00
Positions (direct):
Sr: 0.3333 0.6667 0.2500
Sr: 0.6667 0.3333 0.7500
C: 0.0000 0.3337 0.0000
C: 0.0000 0.3337 0.5000
C: 0.0000 0.6663 0.0000
C: 0.0000 0.6663 0.5000
C: 0.3337 0.0000 0.0000
C: 0.3337 0.0000 0.5000
C: 0.3337 0.3337 0.0000
C: 0.3337 0.3337 0.5000
C: 0.6663 0.0000 0.0000
C: 0.6663 0.0000 0.5000
C: 0.6663 0.6663 0.0000
C: 0.6663 0.6663 0.5000

---

(8)
Simulated powder diffraction line list of ReB4 for Cu Kα X-rays, from a DFT-relaxed cell (PBE, the Materials Project).
Lines closer than 0.1° are merged.

Main lines, in order of rising 2θ (2θ from 10° to 90°):
hkl	d (Å)	Position (°2θ)	I/Imax
1 0 0	4.724	18.79	19
1 0 1	3.754	23.70	75
0 0 2	3.093	28.87	34
1 1 0	2.727	32.84	97
2 0 1	2.206	40.90	19
1 1 2	2.046	44.28	100
3 0 0	1.575	58.63	26
3 0 2	1.403	66.65	21
1 1 4	1.345	69.93	20
2 2 2	1.248	76.32	20

Structural model:
abc: 5.4543 5.4543 6.1858
angles: 90.00 90.00 120.00
Positions (direct):
Re: 0.0000 0.0000 0.2500
Re: 0.0000 0.0000 0.7500
Re: 0.3333 0.6667 0.2500
Re: 0.6667 0.3333 0.7500
B: 0.0000 0.3376 0.0000
B: 0.0000 0.3376 0.5000
B: 0.0000 0.6624 0.0000
B: 0.0000 0.6624 0.5000
B: 0.3333 0.6667 0.6132
B: 0.3333 0.6667 0.8868
B: 0.3376 0.0000 0.0000
B: 0.3376 0.0000 0.5000
B: 0.3376 0.3376 0.0000
B: 0.3376 0.3376 0.5000
B: 0.6624 0.0000 0.0000
B: 0.6624 0.0000 0.5000
B: 0.6624 0.6624 0.0000
B: 0.6624 0.6624 0.5000
B: 0.6667 0.3333 0.1132
B: 0.6667 0.3333 0.3868

---

(9)
Simulated powder diffraction line list of LiNdTi4O12 for Cu Kα X-rays, from a DFT-relaxed cell (PBE, the Materials Project).
Lines closer than 0.1° are merged.

Main lines, in order of rising 2θ (2θ from 10° to 90°):
hkl	d (Å)	Position (°2θ)	I/Imax
0 0 1	7.877	11.23	76
1 0 0	5.433	16.32	72
1 0 1	4.472	19.85	100
1 1 1	3.453	25.80	56
1 0 2	3.189	27.98	34
1 1 2	2.750	32.56	93
2 0 0	2.716	32.97	46
2 1 1	2.322	38.79	35
2 2 0	1.921	47.33	59
3 1 2	1.575	58.62	36

Structural model:
abc: 5.4328 5.4328 7.8771
angles: 90.00 90.00 90.00
Positions (direct):
Li: 0.0000 0.0000 0.0000
Nd: 0.5000 0.5000 0.5000
Ti: 0.0000 0.5000 0.2376
Ti: 0.0000 0.5000 0.7624
Ti: 0.5000 0.0000 0.2376
Ti: 0.5000 0.0000 0.7624
O: 0.0000 0.5000 0.0000
O: 0.0000 0.5000 0.5000
O: 0.2559 0.2559 0.2681
O: 0.2559 0.2559 0.7319
O: 0.2559 0.7441 0.2681
O: 0.2559 0.7441 0.7319
O: 0.5000 0.0000 0.0000
O: 0.5000 0.0000 0.5000
O: 0.7441 0.2559 0.2681
O: 0.7441 0.2559 0.7319
O: 0.7441 0.7441 0.2681
O: 0.7441 0.7441 0.7319